Record 1
For Zr5TlCd, a cell relaxed with GGA-PBE gives the simulated powder diffraction line list in this record (λ = 1.5418 Å (Cu Kα)).
No peak broadening, texture or thermal motion is included.

Cell and atoms:
a b c (Å): 6.0253 6.0253 10.9717
angles (deg): 104.56 104.56 61.79
Sites, in units of the cell vectors:
Zr  0.0977  0.7147  0.9965
Zr  0.1426  0.8574  0.7500
Zr  0.1687  0.3119  0.7653
Zr  0.2853  0.9023  0.5035
Zr  0.3119  0.1687  0.2653
Zr  0.6881  0.8313  0.7347
Zr  0.7147  0.0977  0.4965
Zr  0.8313  0.6881  0.2347
Zr  0.8574  0.1426  0.2500
Zr  0.9023  0.2853  0.0035
Tl  0.3809  0.6191  0.2500
Tl  0.6191  0.3809  0.7500
Cd  0.0000  0.5000  0.5000
Cd  0.5000  0.0000  0.0000

The 12 most intense peaks (5° ≤ 2θ ≤ 70°), in order of falling intensity:
- 2θ = 34.19°, rel. 100
- 2θ = 36.59°, rel. 85
- 2θ = 39.62°, rel. 64
- 2θ = 29.67°, rel. 52
- 2θ = 33.63°, rel. 48
- 2θ = 33.92°, rel. 35
- 2θ = 35.32°, rel. 34
- 2θ = 36.35°, rel. 30
- 2θ = 16.90°, rel. 29
- 2θ = 46.38°, rel. 27
- 2θ = 45.41°, rel. 22
- 2θ = 34.64°, rel. 22



Record 2
For Tb5Si2B8, a cell relaxed with GGA-PBE gives the simulated powder diffraction line list in this record (λ = 1.5418 Å (Cu Kα)).
No peak broadening, texture or thermal motion is included.

Cell and atoms:
a b c (Å): 7.2595 7.2595 8.1553
angles (deg): 90.00 90.00 90.00
Sites, in units of the cell vectors:
Tb  0.0000  0.0000  0.0000
Tb  0.1807  0.3193  0.2762
Tb  0.1807  0.3193  0.7238
Tb  0.3193  0.8193  0.2762
Tb  0.3193  0.8193  0.7238
Tb  0.5000  0.5000  0.0000
Tb  0.6807  0.1807  0.2762
Tb  0.6807  0.1807  0.7238
Tb  0.8193  0.6807  0.2762
Tb  0.8193  0.6807  0.7238
Si  0.1146  0.6146  0.0000
Si  0.3854  0.1146  0.0000
Si  0.6146  0.8854  0.0000
Si  0.8854  0.3854  0.0000
B  0.0000  0.0000  0.3393
B  0.0000  0.0000  0.6607
B  0.0393  0.8279  0.5000
B  0.0904  0.5904  0.5000
B  0.1721  0.0393  0.5000
B  0.3279  0.5393  0.5000
B  0.4096  0.0904  0.5000
B  0.4607  0.3279  0.5000
B  0.5000  0.5000  0.3393
B  0.5000  0.5000  0.6607
B  0.5393  0.6721  0.5000
B  0.5904  0.9096  0.5000
B  0.6721  0.4607  0.5000
B  0.8279  0.9607  0.5000
B  0.9096  0.4096  0.5000
B  0.9607  0.1721  0.5000

The 12 most intense peaks (5° ≤ 2θ ≤ 70°), in order of falling intensity:
- 2θ = 33.03°, rel. 100
- 2θ = 35.34°, rel. 98
- 2θ = 27.47°, rel. 66
- 2θ = 39.24°, rel. 34
- 2θ = 56.97°, rel. 31
- 2θ = 51.93°, rel. 27
- 2θ = 58.50°, rel. 24
- 2θ = 27.94°, rel. 22
- 2θ = 34.96°, rel. 21
- 2θ = 21.80°, rel. 21
- 2θ = 26.89°, rel. 20
- 2θ = 44.43°, rel. 17



Record 3
For AcSm3Pt8, a cell relaxed with GGA-PBE gives the simulated powder diffraction line list in this record (λ = 1.5418 Å (Cu Kα)).
No peak broadening, texture or thermal motion is included.

Cell and atoms:
a b c (Å): 5.5363 5.5363 9.0952
angles (deg): 90.00 90.00 120.00
Sites, in units of the cell vectors:
Ac  0.0000  0.0000  0.0000
Sm  0.0000  0.0000  0.3748
Sm  0.6667  0.3333  0.4943
Sm  0.6667  0.3333  0.8583
Pt  0.1655  0.3311  0.6793
Pt  0.1655  0.8345  0.6793
Pt  0.3333  0.6667  0.4327
Pt  0.3333  0.6667  0.9328
Pt  0.5021  0.0043  0.1880
Pt  0.5021  0.4979  0.1880
Pt  0.6689  0.8345  0.6793
Pt  0.9957  0.4979  0.1880

The 12 most intense peaks (5° ≤ 2θ ≤ 70°), in order of falling intensity:
- 2θ = 38.06°, rel. 100
- 2θ = 38.85°, rel. 96
- 2θ = 35.02°, rel. 66
- 2θ = 64.28°, rel. 33
- 2θ = 67.70°, rel. 31
- 2θ = 59.42°, rel. 28
- 2θ = 42.63°, rel. 26
- 2θ = 61.50°, rel. 25
- 2θ = 32.34°, rel. 23
- 2θ = 39.64°, rel. 22
- 2θ = 44.08°, rel. 15
- 2θ = 18.51°, rel. 11



Record 4
For Ti2H6W, a cell relaxed with GGA-PBE gives the simulated powder diffraction line list in this record (λ = 1.5418 Å (Cu Kα)).
No peak broadening, texture or thermal motion is included.

Cell and atoms:
a b c (Å): 5.3891 5.3891 3.1108
angles (deg): 106.64 106.64 47.93
Sites, in units of the cell vectors:
Ti  0.1650  0.1650  0.1651
Ti  0.8350  0.8350  0.8349
H  0.0873  0.5815  0.3344
H  0.2541  0.7459  0.0000
H  0.4185  0.9127  0.6656
H  0.5815  0.0873  0.3344
H  0.7459  0.2541  0.0000
H  0.9127  0.4185  0.6656
W  0.5000  0.5000  0.5000

The 12 most intense peaks (5° ≤ 2θ ≤ 70°), in order of falling intensity:
- 2θ = 35.37°, rel. 100
- 2θ = 22.42°, rel. 36
- 2θ = 18.98°, rel. 27
- 2θ = 30.28°, rel. 17
- 2θ = 40.47°, rel. 17
- 2θ = 59.48°, rel. 17
- 2θ = 40.93°, rel. 16
- 2θ = 41.04°, rel. 16
- 2θ = 41.25°, rel. 15
- 2θ = 59.59°, rel. 11
- 2θ = 52.01°, rel. 8
- 2θ = 53.24°, rel. 8



Record 5
For PmNdSi4, a cell relaxed with GGA-PBE gives the simulated powder diffraction line list in this record (λ = 1.5418 Å (Cu Kα)).
No peak broadening, texture or thermal motion is included.

Cell and atoms:
a b c (Å): 4.1504 4.1504 14.2425
angles (deg): 90.00 90.00 90.00
Sites, in units of the cell vectors:
Pm  0.0000  0.0000  0.0000
Pm  0.5000  0.5000  0.5000
Nd  0.0000  0.5000  0.7500
Nd  0.5000  0.0000  0.2500
Si  0.0000  0.0000  0.4170
Si  0.0000  0.0000  0.5830
Si  0.0000  0.5000  0.1664
Si  0.0000  0.5000  0.3336
Si  0.5000  0.0000  0.6664
Si  0.5000  0.0000  0.8336
Si  0.5000  0.5000  0.0830
Si  0.5000  0.5000  0.9170

The 12 most intense peaks (5° ≤ 2θ ≤ 70°), in order of falling intensity:
- 2θ = 33.01°, rel. 100
- 2θ = 28.57°, rel. 51
- 2θ = 38.33°, rel. 41
- 2θ = 22.31°, rel. 38
- 2θ = 43.62°, rel. 31
- 2θ = 59.44°, rel. 23
- 2θ = 25.01°, rel. 22
- 2θ = 49.92°, rel. 19
- 2θ = 52.97°, rel. 18
- 2θ = 68.42°, rel. 15
- 2θ = 50.93°, rel. 13
- 2θ = 63.39°, rel. 10